# HfMg5Hg6
Simulated powder XRD pattern, a wavelength of 1.5418 Å. Input: a crystal structure in Alexandria, relaxed with GGA-PBE.
Neutral-atom scattering factors, no anomalous dispersion.

Cell and atoms:
```
data_HfMg5Hg6
_chemical_formula_sum 'Hf2 Mg10 Hg12'
_cell_length_a 4.805
_cell_length_b 14.650
_cell_length_c 7.191
_cell_angle_alpha 90.00
_cell_angle_beta 90.00
_cell_angle_gamma 90.00
_space_group_name_H-M_alt 'C m m m'
_space_group_IT_number 65
_space_group_name_Hall '-C 2 2'
loop_
_atom_site_label
_atom_site_type_symbol
_atom_site_fract_x
_atom_site_fract_y
_atom_site_fract_z
Hf1 Hf 0.000 0.000 0.000
Mg1 Mg 0.000 0.000 0.500
Mg2 Mg 0.000 0.327 0.500
Mg3 Mg 0.000 0.338 0.000
Hg1 Hg 0.000 0.167 0.243
Hg2 Hg 0.000 0.500 0.260
```

Top 8 peaks for 2θ from 10° to 90°, in order of rising 2θ:
2θ 24.76, d 3.596, intensity 22.8
2θ 26.01, d 3.425, intensity 41.2
2θ 36.22, d 2.480, intensity 100.0
2θ 36.81, d 2.442, intensity 24.1
2θ 37.43, d 2.403, intensity 23.2
2θ 53.51, d 1.713, intensity 16.7
2θ 65.92, d 1.417, intensity 17.6
2θ 66.74, d 1.402, intensity 17.1